Starting from a structure optimized by DFT (GGA-PBE), the X-ray diffraction stick pattern of CuRe2Au was simulated for Cu Ka.
Intensities are scaled so that the largest is 1000.

Principal peaks in the range 2θ = 10–90°, by angle:
| d (Å) | 2theta | Rel. int. |
| --- | --- | --- |
| 2.325 | 38.74 | 540 |
| 2.243 | 40.21 | 1000 |
| 2.229 | 40.47 | 479 |
| 1.965 | 46.19 | 660 |
| 1.939 | 46.86 | 312 |
| 1.170 | 82.43 | 247 |

Structure:
Cell lengths 4.9173, 4.9173, 4.6918 Å; angles 99.61, 99.61, 32.47 degrees
Positions (direct):
Cu1 0.0000 0.0000 0.0000
Re1 0.2535 0.2535 0.7586
Re2 0.7465 0.7465 0.2414
Au1 0.5000 0.5000 0.5000


Starting from a structure optimized by DFT (GGA-PBE), the X-ray diffraction stick pattern of CuRe2Au was simulated for Cu Ka.
Intensities are scaled so that the largest is 1000.

Principal peaks in the range 2θ = 10–90°, by angle:
| d (Å) | 2theta | Rel. int. |
| --- | --- | --- |
| 2.290 | 39.35 | 481 |
| 2.260 | 39.89 | 1000 |
| 2.245 | 40.17 | 500 |
| 2.056 | 44.05 | 354 |
| 1.917 | 47.41 | 608 |
| 1.159 | 83.42 | 245 |

Structure:
Cell lengths 4.7244, 4.7244, 4.9777 Å; angles 97.01, 97.01, 33.28 degrees
Positions (direct):
Cu1 0.0000 0.0000 0.0000
Re1 0.2546 0.2546 0.7250
Re2 0.5003 0.5003 0.5246
Au1 0.7500 0.7500 0.2174


Starting from a structure optimized by DFT (GGA-PBE), the X-ray diffraction stick pattern of CuRhAu was simulated for Cu Ka.
Intensities are scaled so that the largest is 1000.

Principal peaks in the range 2θ = 10–90°, by angle:
| d (Å) | 2theta | Rel. int. |
| --- | --- | --- |
| 5.692 | 15.57 | 152 |
| 2.716 | 32.98 | 194 |
| 2.251 | 40.05 | 1000 |
| 1.978 | 45.89 | 345 |
| 1.369 | 68.54 | 190 |
| 1.188 | 80.93 | 255 |

Structure:
Cell lengths 6.0258, 6.0258, 6.0258 Å; angles 153.16, 153.16, 38.32 degrees
Positions (direct):
Cu1 0.0000 0.0000 0.0000
Rh1 0.6509 0.6509 0.0000
Au1 0.3340 0.3340 0.0000


Starting from a structure optimized by DFT (GGA-PBE), the X-ray diffraction stick pattern of Cu6RhAu2 was simulated for Cu Ka.
Intensities are scaled so that the largest is 1000.

Principal peaks in the range 2θ = 10–90°, by angle:
| d (Å) | 2theta | Rel. int. |
| --- | --- | --- |
| 3.575 | 24.91 | 276 |
| 2.206 | 40.91 | 393 |
| 2.154 | 41.94 | 1000 |
| 2.019 | 44.90 | 261 |
| 1.266 | 75.05 | 193 |
| 1.145 | 84.64 | 189 |

Structure:
Cell lengths 2.7040, 7.1682, 7.1682 Å; angles 64.28, 90.00, 90.00 degrees
Positions (direct):
Cu1 0.0000 0.1577 0.8423
Cu2 0.0000 0.8423 0.1577
Cu3 0.5000 0.1669 0.5253
Cu4 0.5000 0.4510 0.8576
Cu5 0.5000 0.5253 0.1669
Cu6 0.5000 0.8576 0.4510
Rh1 0.0000 0.1934 0.1934
Au1 0.0000 0.5069 0.5069
Au2 0.0000 0.8047 0.8047


Starting from a structure optimized by DFT (GGA-PBE), the X-ray diffraction stick pattern of CuRhAu2 was simulated for Cu Ka.
Intensities are scaled so that the largest is 1000.

Principal peaks in the range 2θ = 10–90°, by angle:
| d (Å) | 2theta | Rel. int. |
| --- | --- | --- |
| 3.150 | 28.34 | 155 |
| 2.386 | 37.70 | 341 |
| 2.364 | 38.06 | 444 |
| 2.172 | 41.59 | 1000 |
| 1.679 | 54.67 | 200 |
| 1.332 | 70.70 | 207 |

Structure:
Cell lengths 2.7787, 2.7787, 9.4489 Å; angles 90.00, 90.00, 118.35 degrees
Positions (direct):
Cu1 0.0000 0.0000 0.0000
Rh1 0.5000 0.5000 0.7771
Au1 0.0000 0.0000 0.5187
Au2 0.5000 0.5000 0.2400


Starting from a structure optimized by DFT (GGA-PBE), the X-ray diffraction stick pattern of ScCuRhAu was simulated for Cu Ka.
Intensities are scaled so that the largest is 1000.

Principal peaks in the range 2θ = 10–90°, by angle:
| d (Å) | 2theta | Rel. int. |
| --- | --- | --- |
| 3.798 | 23.42 | 192 |
| 2.872 | 31.14 | 192 |
| 2.291 | 39.33 | 1000 |
| 2.134 | 42.35 | 202 |
| 1.941 | 46.81 | 151 |
| 1.260 | 75.43 | 143 |

Structure:
Cell lengths 3.7984, 3.8815, 4.2684 Å; angles 90.00, 90.00, 90.00 degrees
Positions (direct):
Sc1 0.0000 0.0000 0.0000
Cu1 0.0000 0.5000 0.5000
Rh1 0.5000 0.5000 0.0000
Au1 0.5000 0.0000 0.5000